Starting from a DFT-relaxed cell (PBE, Alexandria), the X-ray powder pattern of AcPrMgCd was calculated for Cu Kα (λ = 1.5418 Å).
Intensities are scaled so that the largest is 100.

Structure:
a b c (Å): 4.000 4.000 7.985
angles (deg): 90.00 90.00 90.00
Space group P4mm (No. 99)
Asymmetric unit:
Ac1 0.000 0.000 0.000 [1 per cell]
Pr1 0.000 0.000 0.498 [1 per cell]
Mg1 0.500 0.500 0.729 [1 per cell]
Cd1 0.500 0.500 0.273 [1 per cell]

Main lines, in order of rising 2θ (2θ = 15–90°):
2θ = 22.2°, I = 24, (0 0 2)
2θ = 24.9°, I = 8, (1 0 1)
2θ = 31.7°, I = 100, (1 1 0)
2θ = 45.4°, I = 18, (2 0 0)
2θ = 51.1°, I = 12, (1 0 4)
2θ = 56.4°, I = 38, (2 1 2)
2θ = 66.1°, I = 12, (2 2 0)
2θ = 75.1°, I = 11, (3 1 0)